Entry 1:
This entry pairs a crystal structure of LiMnP4O12 with its theoretical powder diffraction line list. Radiation: Cu Kα X-rays. Structure: a crystal structure in the Materials Project, relaxed with PBE+U.
Lines closer than 0.1° are merged.

Principal peaks in the range 15° ≤ 2θ ≤ 90°, sorted by position:
| d [Å] | 2θ/deg | Rel. int. |
| --- | --- | --- |
| 5.000 | 17.74 | 53 |
| 4.044 | 21.98 | 100 |
| 3.332 | 26.75 | 82 |
| 3.226 | 27.65 | 42 |
| 2.806 | 31.89 | 36 |
| 2.744 | 32.63 | 36 |

Structural model:
Cell: 6.9894 6.9894 10.0033 Å, 90.96 90.96 107.49°
Element x y z (fractional)
Li1 0.1479 0.8521 0.7500
Li2 0.8521 0.1479 0.2500
Mn1 0.1175 0.8825 0.2500
Mn2 0.8825 0.1175 0.7500
P1 0.2155 0.2704 0.4597
P2 0.2704 0.2155 0.9597
P3 0.2846 0.6656 0.0225
P4 0.3344 0.7154 0.4775
P5 0.6656 0.2846 0.5225
P6 0.7154 0.3344 0.9775
P7 0.7296 0.7845 0.0403
P8 0.7845 0.7296 0.5403
O1 0.0967 0.2303 0.5831
O2 0.1331 0.1470 0.3330
O3 0.1417 0.6620 0.1375
O4 0.1470 0.1331 0.8330
O5 0.2262 0.7327 0.6006
O6 0.2303 0.0967 0.0831
O7 0.2553 0.4953 0.4086
O8 0.2597 0.4367 0.9877
O9 0.2673 0.7738 0.8994
O10 0.3380 0.8583 0.3625
O11 0.4367 0.2597 0.4877
O12 0.4953 0.2553 0.9086
O13 0.5047 0.7447 0.0914
O14 0.5633 0.7403 0.5123
O15 0.6620 0.1417 0.6375
O16 0.7327 0.2262 0.1006
O17 0.7403 0.5633 0.0123
O18 0.7447 0.5047 0.5914
O19 0.7697 0.9033 0.9169
O20 0.7738 0.2673 0.3994
O21 0.8530 0.8669 0.1670
O22 0.8583 0.3380 0.8625
O23 0.8669 0.8530 0.6670
O24 0.9033 0.7697 0.4169

=====

Entry 2:
This entry pairs a crystal structure of Y2MgCr2O8 with its theoretical powder diffraction line list. Radiation: Cu Kα X-rays. Structure: a crystal structure in the Materials Project, relaxed with PBE+U.
Lines closer than 0.1° are merged.

Principal peaks in the range 15° ≤ 2θ ≤ 90°, sorted by position:
| d [Å] | 2θ/deg | Rel. int. |
| --- | --- | --- |
| 3.441 | 25.89 | 91 |
| 3.431 | 25.97 | 85 |
| 2.977 | 30.02 | 70 |
| 2.419 | 37.16 | 100 |
| 1.955 | 46.45 | 37 |
| 1.725 | 53.09 | 37 |

Structural model:
Cell: 5.0461 5.1494 7.8963 Å, 105.43 105.25 100.20°
Element x y z (fractional)
Y1 0.0000 0.0000 0.0000
Y2 0.1773 0.6750 0.3524
Mg1 0.3329 0.3279 0.6595
Cr1 0.5266 0.5260 0.0525
Cr2 0.6643 0.1618 0.3259
O1 0.0027 0.4164 0.5028
O2 0.2393 0.2266 0.8642
O3 0.3247 0.7965 0.1237
O4 0.4013 0.3625 0.2459
O5 0.5041 0.0812 0.5035
O6 0.6264 0.6373 0.8636
O7 0.8003 0.3265 0.1240
O8 0.8458 0.8808 0.2453

=====

Entry 3:
This entry pairs a crystal structure of YWClO4 with its theoretical powder diffraction line list. Radiation: Cu Kα X-rays. Structure: a crystal structure in the Materials Project, relaxed with PBE+U.
Lines closer than 0.1° are merged.

Principal peaks in the range 15° ≤ 2θ ≤ 90°, sorted by position:
| d [Å] | 2θ/deg | Rel. int. |
| --- | --- | --- |
| 4.693 | 18.91 | 36 |
| 3.688 | 24.13 | 100 |
| 3.505 | 25.41 | 55 |
| 3.142 | 28.40 | 49 |
| 3.076 | 29.03 | 47 |
| 2.611 | 34.35 | 35 |

Structural model:
Cell: 6.3657 6.3657 6.9523 Å, 103.97 103.97 70.81°
Element x y z (fractional)
Y1 0.2221 0.2221 0.1160
Y2 0.7779 0.7779 0.8840
W1 0.3628 0.3628 0.7324
W2 0.6372 0.6372 0.2676
Cl1 0.0107 0.0107 0.7684
Cl2 0.9893 0.9893 0.2316
O1 0.1102 0.4906 0.8487
O2 0.2936 0.2936 0.4638
O3 0.4560 0.4560 0.2019
O4 0.4906 0.1102 0.8487
O5 0.5094 0.8898 0.1513
O6 0.5440 0.5440 0.7981
O7 0.7064 0.7064 0.5362
O8 0.8898 0.5094 0.1513

=====

Entry 4:
This entry pairs a crystal structure of MnFeBiO5 with its theoretical powder diffraction line list. Radiation: Cu Kα X-rays. Structure: a crystal structure in the Materials Project, relaxed with PBE+U.
Lines closer than 0.1° are merged.

Principal peaks in the range 15° ≤ 2θ ≤ 90°, sorted by position:
| d [Å] | 2θ/deg | Rel. int. |
| --- | --- | --- |
| 5.864 | 15.11 | 50 |
| 3.184 | 28.03 | 87 |
| 3.003 | 29.75 | 100 |
| 2.721 | 32.92 | 30 |
| 2.246 | 40.14 | 27 |
| 1.604 | 57.46 | 28 |

Structural model:
Cell: 7.6295 8.7377 5.8638 Å, 90.00 90.00 90.00°
Element x y z (fractional)
Mn1 0.0000 0.0000 0.2472
Mn2 0.0000 0.0000 0.7528
Mn3 0.5000 0.5000 0.2472
Mn4 0.5000 0.5000 0.7528
Fe1 0.1140 0.3530 0.0000
Fe2 0.3860 0.8530 0.0000
Fe3 0.6140 0.1470 0.0000
Fe4 0.8860 0.6470 0.0000
Bi1 0.1467 0.6622 0.5000
Bi2 0.3533 0.1622 0.5000
Bi3 0.6467 0.8378 0.5000
Bi4 0.8533 0.3378 0.5000
O1 0.0000 0.5000 0.2190
O2 0.0000 0.5000 0.7810
O3 0.1150 0.1986 0.2480
O4 0.1150 0.1986 0.7520
O5 0.1446 0.9231 0.0000
O6 0.1547 0.9428 0.5000
O7 0.3453 0.4428 0.5000
O8 0.3554 0.4231 0.0000
O9 0.3850 0.6986 0.2480
O10 0.3850 0.6986 0.7520
O11 0.5000 0.0000 0.2190
O12 0.5000 0.0000 0.7810
O13 0.6150 0.3014 0.2480
O14 0.6150 0.3014 0.7520
O15 0.6446 0.5769 0.0000
O16 0.6547 0.5572 0.5000
O17 0.8453 0.0572 0.5000
O18 0.8554 0.0769 0.0000
O19 0.8850 0.8014 0.2480
O20 0.8850 0.8014 0.7520

=====

Entry 5:
This entry pairs a crystal structure of Mn2OF3 with its theoretical powder diffraction line list. Radiation: Cu Kα X-rays. Structure: a crystal structure in the Materials Project, relaxed with PBE+U.
Lines closer than 0.1° are merged.

Principal peaks in the range 15° ≤ 2θ ≤ 90°, sorted by position:
| d [Å] | 2θ/deg | Rel. int. |
| --- | --- | --- |
| 3.562 | 25.00 | 100 |
| 3.345 | 26.65 | 87 |
| 2.661 | 33.68 | 95 |
| 1.829 | 49.85 | 67 |
| 1.768 | 51.71 | 49 |
| 1.447 | 64.38 | 41 |

Structural model:
Cell: 15.8768 4.8866 4.8866 Å, 93.60 90.00 90.00°
Element x y z (fractional)
Mn1 0.0000 0.0000 0.0000
Mn2 0.1003 0.4689 0.4689
Mn3 0.2006 0.0033 0.0033
Mn4 0.3005 0.4733 0.4733
Mn5 0.4004 0.9427 0.9427
Mn6 0.5000 0.4728 0.4728
Mn7 0.5996 0.9427 0.9427
Mn8 0.6995 0.4733 0.4733
Mn9 0.7994 0.0033 0.0033
Mn10 0.8997 0.4689 0.4689
O1 0.0000 0.2909 0.2909
O2 0.2022 0.2990 0.2990
O3 0.4000 0.6462 0.6462
O4 0.6000 0.6462 0.6462
O5 0.7978 0.2990 0.2990
F1 0.0000 0.6838 0.6838
F2 0.0991 0.1833 0.7958
F3 0.0991 0.7958 0.1833
F4 0.1960 0.6870 0.6870
F5 0.3004 0.1745 0.7728
F6 0.3004 0.7728 0.1745
F7 0.4048 0.2606 0.2606
F8 0.5000 0.1490 0.7595
F9 0.5000 0.7595 0.1490
F10 0.5952 0.2606 0.2606
F11 0.6996 0.1745 0.7728
F12 0.6996 0.7728 0.1745
F13 0.8040 0.6870 0.6870
F14 0.9009 0.1833 0.7958
F15 0.9009 0.7958 0.1833